For Li2MnI4, a crystal structure in Alexandria, relaxed with GGA-PBE gives the theoretical powder XRD pattern in this record (CuKα).
Peak positions follow from Bragg's law for the DFT cell and can differ from measured ones.

Principal peaks in the range 2θ from 10° to 80°, by intensity:
24.01 deg, I 100.0
46.16 deg, I 33.1
40.15 deg, I 31.7
27.18 deg, I 26.7
38.81 deg, I 17.3
48.48 deg, I 14.5
63.76 deg, I 12.5
28.99 deg, I 11.4
71.17 deg, I 11.0
49.16 deg, I 10.2

Atomic structure:
```
data_Li2MnI4
_space_group_name_H-M_alt 'P 1'
_space_group_IT_number 1
_cell_length_a 6.563
_cell_length_b 6.563
_cell_length_c 12.321
_cell_angle_alpha 90.00
_cell_angle_beta 90.00
_cell_angle_gamma 90.00
loop_
_space_group_symop_operation_xyz
'x,y,z'
loop_
_atom_site_label
_atom_site_type_symbol
_atom_site_fract_x
_atom_site_fract_y
_atom_site_fract_z
Li1 Li 0.000 0.500 0.250
Li2 Li 0.000 0.500 0.750
Li3 Li 0.500 0.000 0.250
Li4 Li 0.500 0.000 0.750
Mn1 Mn 0.000 0.000 0.000
Mn2 Mn 0.500 0.500 0.500
I1 I 0.242 0.242 0.123
I2 I 0.242 0.758 0.877
I3 I 0.258 0.258 0.623
I4 I 0.258 0.742 0.377
I5 I 0.742 0.258 0.377
I6 I 0.742 0.742 0.623
I7 I 0.758 0.242 0.877
I8 I 0.758 0.758 0.123
```

---

For Ce3In2Sn3, a crystal structure in Alexandria, relaxed with GGA-PBE gives the theoretical powder XRD pattern in this record (CuKα).
Peak positions follow from Bragg's law for the DFT cell and can differ from measured ones.

Principal peaks in the range 2θ from 10° to 80°, by intensity:
32.61 deg, I 100.0
37.76 deg, I 17.2
37.26 deg, I 16.4
38.46 deg, I 16.3
64.94 deg, I 13.8
65.89 deg, I 13.2
54.99 deg, I 12.2
64.27 deg, I 12.0
54.09 deg, I 11.2
68.32 deg, I 11.2

Atomic structure:
```
data_Ce3In2Sn3
_space_group_name_H-M_alt 'P 1'
_space_group_IT_number 1
_cell_length_a 4.681
_cell_length_b 4.765
_cell_length_c 9.652
_cell_angle_alpha 90.00
_cell_angle_beta 90.00
_cell_angle_gamma 90.00
loop_
_space_group_symop_operation_xyz
'x,y,z'
loop_
_atom_site_label
_atom_site_type_symbol
_atom_site_fract_x
_atom_site_fract_y
_atom_site_fract_z
Ce1 Ce 0.000 0.000 0.000
Ce2 Ce 0.500 0.000 0.272
Ce3 Ce 0.500 0.000 0.728
In1 In 0.000 0.500 0.247
In2 In 0.000 0.500 0.753
Sn1 Sn 0.000 0.000 0.500
Sn2 Sn 0.500 0.500 0.000
Sn3 Sn 0.500 0.500 0.500
```

---

For TbNi12, a crystal structure in Alexandria, relaxed with GGA-PBE gives the theoretical powder XRD pattern in this record (CuKα).
Peak positions follow from Bragg's law for the DFT cell and can differ from measured ones.

Principal peaks in the range 2θ from 10° to 80°, by intensity:
44.18 deg, I 100.0
44.40 deg, I 45.4
38.06 deg, I 29.9
30.90 deg, I 22.3
49.92 deg, I 19.5
49.71 deg, I 13.9
73.32 deg, I 12.8
38.27 deg, I 11.2
34.56 deg, I 8.5
64.22 deg, I 7.5

Atomic structure:
```
data_TbNi12
_space_group_name_H-M_alt 'P 1'
_space_group_IT_number 1
_cell_length_a 6.261
_cell_length_b 6.261
_cell_length_c 6.261
_cell_angle_alpha 98.11
_cell_angle_beta 98.11
_cell_angle_gamma 135.88
loop_
_space_group_symop_operation_xyz
'x,y,z'
loop_
_atom_site_label
_atom_site_type_symbol
_atom_site_fract_x
_atom_site_fract_y
_atom_site_fract_z
Tb1 Tb 0.000 0.000 0.000
Ni1 Ni 0.000 0.000 0.500
Ni2 Ni 0.000 0.355 0.355
Ni3 Ni 0.000 0.500 0.000
Ni4 Ni 0.000 0.645 0.645
Ni5 Ni 0.276 0.500 0.776
Ni6 Ni 0.355 0.000 0.355
Ni7 Ni 0.500 0.000 0.000
Ni8 Ni 0.500 0.276 0.776
Ni9 Ni 0.500 0.500 0.500
Ni10 Ni 0.500 0.724 0.224
Ni11 Ni 0.645 0.000 0.645
Ni12 Ni 0.724 0.500 0.224
```

---

For TiBe11, a crystal structure in Alexandria, relaxed with GGA-PBE gives the theoretical powder XRD pattern in this record (CuKα).
Peak positions follow from Bragg's law for the DFT cell and can differ from measured ones.

Principal peaks in the range 2θ from 10° to 80°, by intensity:
46.65 deg, I 100.0
28.13 deg, I 86.8
19.01 deg, I 69.0
46.98 deg, I 61.1
40.99 deg, I 58.7
35.56 deg, I 57.7
20.54 deg, I 53.8
29.20 deg, I 38.4
35.08 deg, I 29.6
50.50 deg, I 25.4

Atomic structure:
```
data_TiBe11
_space_group_name_H-M_alt 'P 1'
_space_group_IT_number 1
_cell_length_a 6.715
_cell_length_b 6.715
_cell_length_c 6.715
_cell_angle_alpha 99.81
_cell_angle_beta 99.81
_cell_angle_gamma 131.24
loop_
_space_group_symop_operation_xyz
'x,y,z'
loop_
_atom_site_label
_atom_site_type_symbol
_atom_site_fract_x
_atom_site_fract_y
_atom_site_fract_z
Ti1 Ti 0.375 0.625 0.750
Ti2 Ti 0.625 0.375 0.250
Be1 Be 0.000 0.000 0.000
Be2 Be 0.000 0.000 0.500
Be3 Be 0.000 0.500 0.000
Be4 Be 0.125 0.875 0.250
Be5 Be 0.140 0.559 0.332
Be6 Be 0.140 0.808 0.580
Be7 Be 0.192 0.272 0.332
Be8 Be 0.192 0.860 0.920
Be9 Be 0.272 0.192 0.832
Be10 Be 0.272 0.441 0.080
Be11 Be 0.441 0.272 0.580
Be12 Be 0.441 0.860 0.168
Be13 Be 0.500 0.000 0.500
Be14 Be 0.559 0.140 0.832
Be15 Be 0.559 0.728 0.420
Be16 Be 0.728 0.559 0.920
Be17 Be 0.728 0.808 0.168
Be18 Be 0.808 0.140 0.080
Be19 Be 0.808 0.728 0.668
Be20 Be 0.860 0.192 0.420
Be21 Be 0.860 0.441 0.668
Be22 Be 0.875 0.125 0.750
```

---

Repeat the fourth record exactly.
For TiBe11, a crystal structure in Alexandria, relaxed with GGA-PBE gives the theoretical powder XRD pattern in this record (CuKα).
Peak positions follow from Bragg's law for the DFT cell and can differ from measured ones.

Principal peaks in the range 2θ from 10° to 80°, by intensity:
46.65 deg, I 100.0
28.13 deg, I 86.8
19.01 deg, I 69.0
46.98 deg, I 61.1
40.99 deg, I 58.7
35.56 deg, I 57.7
20.54 deg, I 53.8
29.20 deg, I 38.4
35.08 deg, I 29.6
50.50 deg, I 25.4

Atomic structure:
```
data_TiBe11
_space_group_name_H-M_alt 'P 1'
_space_group_IT_number 1
_cell_length_a 6.715
_cell_length_b 6.715
_cell_length_c 6.715
_cell_angle_alpha 99.81
_cell_angle_beta 99.81
_cell_angle_gamma 131.24
loop_
_space_group_symop_operation_xyz
'x,y,z'
loop_
_atom_site_label
_atom_site_type_symbol
_atom_site_fract_x
_atom_site_fract_y
_atom_site_fract_z
Ti1 Ti 0.375 0.625 0.750
Ti2 Ti 0.625 0.375 0.250
Be1 Be 0.000 0.000 0.000
Be2 Be 0.000 0.000 0.500
Be3 Be 0.000 0.500 0.000
Be4 Be 0.125 0.875 0.250
Be5 Be 0.140 0.559 0.332
Be6 Be 0.140 0.808 0.580
Be7 Be 0.192 0.272 0.332
Be8 Be 0.192 0.860 0.920
Be9 Be 0.272 0.192 0.832
Be10 Be 0.272 0.441 0.080
Be11 Be 0.441 0.272 0.580
Be12 Be 0.441 0.860 0.168
Be13 Be 0.500 0.000 0.500
Be14 Be 0.559 0.140 0.832
Be15 Be 0.559 0.728 0.420
Be16 Be 0.728 0.559 0.920
Be17 Be 0.728 0.808 0.168
Be18 Be 0.808 0.140 0.080
Be19 Be 0.808 0.728 0.668
Be20 Be 0.860 0.192 0.420
Be21 Be 0.860 0.441 0.668
Be22 Be 0.875 0.125 0.750
```

---

Question: What is the formula in the second record?
Answer: Ce3In2Sn3